(1)
# Ce6Tl2Pb
Computed X-ray powder pattern, Cu Kα X-rays. Input: the GGA-PBE geometry in Alexandria.
Neutral-atom scattering factors, no anomalous dispersion.

Principal peaks in the range 10 to 90 degrees two-theta, sorted by position:
2θ/deg	Rel. int.	index
31.25	100.0	0 0 6
34.22	81.5	0 3 3
34.78	30.4	1 2 1
36.24	44.9	1 1 4
50.29	19.7	1 4 1
51.11	14.0	1 2 7
57.55	17.6	0 3 9
63.55	12.8	1 4 7
68.18	22.3	2 3 3
85.33	12.8	2 3 9

Structure:
Unit cell a=3.232 b=8.842 c=17.170 alpha=90.00 beta=90.00 gamma=90.00
Space group Immm (No. 71)
Inequivalent atoms, fractional coordinates:
Ce (0.000, 0.154, 0.000)
Ce (0.000, 0.346, 0.164)
Tl (0.000, 0.500, 0.341)
Pb (0.000, 0.000, 0.500)

---

(2)
# Ce4Tl3Pb
Computed X-ray powder pattern, Cu Kα X-rays. Input: the GGA-PBE geometry in Alexandria.
Neutral-atom scattering factors, no anomalous dispersion.

Principal peaks in the range 10 to 90 degrees two-theta, sorted by position:
2θ/deg	Rel. int.	index
30.29	69.6	2 0 0
34.34	100.0	1 1 4
43.36	26.4	2 2 0
56.45	48.8	3 1 4
62.99	8.8	4 0 0
63.95	16.8	2 0 8
71.48	12.1	4 2 0
72.38	11.7	2 2 8
73.76	11.1	3 3 4
89.61	14.2	5 1 4

Structure:
Unit cell a=5.902 b=5.902 c=13.388 alpha=90.00 beta=90.00 gamma=90.00
Space group I4/mmm (No. 139)
Inequivalent atoms, fractional coordinates:
Ce (0.000, 0.500, 0.125)
Tl (0.000, 0.000, 0.000)
Tl (0.000, 0.000, 0.248)
Pb (0.000, 0.000, 0.500)

---

(3)
# Ce7TlPb2
Computed X-ray powder pattern, Cu Kα X-rays. Input: the GGA-PBE geometry in Alexandria.
Neutral-atom scattering factors, no anomalous dispersion.

Principal peaks in the range 10 to 90 degrees two-theta, sorted by position:
2θ/deg	Rel. int.	index
29.62	54.0	1 0 3
33.58	100.0	1 1 0
35.81	47.8	0 1 4
45.38	17.0	0 2 3
49.90	26.1	2 0 4
57.62	24.6	0 1 7
60.05	19.0	3 0 0
61.50	24.1	1 2 4
70.59	11.8	2 2 0
78.36	13.4	1 2 7

Structure:
Unit cell a=5.3370 b=5.3370 c=11.9405 alpha=90.00 beta=90.00 gamma=120.00
Space group P3m1 (No. 156)
Inequivalent atoms, fractional coordinates:
Ce (0.0000, 0.0000, 0.0000)
Ce (0.0000, 0.0000, 0.2260)
Ce (0.0000, 0.0000, 0.7693)
Ce (0.3333, 0.6667, 0.3976)
Ce (0.3333, 0.6667, 0.7866)
Ce (0.6667, 0.3333, 0.2042)
Ce (0.6667, 0.3333, 0.6037)
Tl (0.3333, 0.6667, 0.1123)
Pb (0.0000, 0.0000, 0.4982)
Pb (0.6667, 0.3333, 0.8894)

---

What did the second record say?
# Ce4Tl3Pb
Computed X-ray powder pattern, Cu Kα X-rays. Input: the GGA-PBE geometry in Alexandria.
Neutral-atom scattering factors, no anomalous dispersion.

Principal peaks in the range 10 to 90 degrees two-theta, sorted by position:
2θ/deg	Rel. int.	index
30.29	69.6	2 0 0
34.34	100.0	1 1 4
43.36	26.4	2 2 0
56.45	48.8	3 1 4
62.99	8.8	4 0 0
63.95	16.8	2 0 8
71.48	12.1	4 2 0
72.38	11.7	2 2 8
73.76	11.1	3 3 4
89.61	14.2	5 1 4

Structure:
Unit cell a=5.902 b=5.902 c=13.388 alpha=90.00 beta=90.00 gamma=90.00
Space group I4/mmm (No. 139)
Inequivalent atoms, fractional coordinates:
Ce (0.000, 0.500, 0.125)
Tl (0.000, 0.000, 0.000)
Tl (0.000, 0.000, 0.248)
Pb (0.000, 0.000, 0.500)

---

Question: Number 2 is which compound?
Answer: Ce4Tl3Pb